1.
Structure and theoretical X-ray diffraction stick pattern of CsRbLi2Cl4 (DFT lattice parameters and positions (GGA-PBE); Cu Kα X-rays).

```
data_CsRbLi2Cl4
_chemical_formula_sum 'Cs1 Rb1 Li2 Cl4'
_symmetry_space_group_name_H-M 'P 4/m m m'
_symmetry_Int_Tables_number 123
_symmetry_space_group_name_Hall '-P 4 2'
_cell_length_a 5.0896
_cell_length_b 5.0896
_cell_length_c 9.3527
_cell_angle_alpha 90.00
_cell_angle_beta 90.00
_cell_angle_gamma 90.00
loop_
_atom_site_label
_atom_site_type_symbol
_atom_site_fract_x
_atom_site_fract_y
_atom_site_fract_z
Cs1 Cs 0.0000 0.0000 0.0000
Rb1 Rb 0.0000 0.0000 0.5000
Li1 Li 0.5000 0.5000 0.2645
Cl1 Cl 0.0000 0.5000 0.2624
```

Principal peaks in the range 2θ = 10–90°, by angle:
| d_spacing | 2θ/deg | intensity |
| --- | --- | --- |
| 5.090 | 17.42 | 73 |
| 3.444 | 25.87 | 69 |
| 2.852 | 31.36 | 100 |
| 2.545 | 35.27 | 40 |
| 2.338 | 38.50 | 15 |
| 2.276 | 39.59 | 18 |
| 2.125 | 42.55 | 15 |
| 2.047 | 44.26 | 32 |
| 1.799 | 50.73 | 13 |
| 1.722 | 53.20 | 22 |
| 1.631 | 56.42 | 13 |
| 1.522 | 60.87 | 27 |


2.
Structure and theoretical X-ray diffraction stick pattern of Na2HfSb2O6 (DFT lattice parameters and positions (GGA-PBE); Cu Kα X-rays).

```
data_Na2HfSb2O6
_chemical_formula_sum 'Na4 Hf2 Sb4 O12'
_symmetry_space_group_name_H-M 'C 1 2/m 1'
_symmetry_Int_Tables_number 12
_cell_length_a 9.4506
_cell_length_b 6.7194
_cell_length_c 5.9544
_cell_angle_alpha 90.00
_cell_angle_beta 115.14
_cell_angle_gamma 90.00
loop_
_symmetry_equiv_pos_as_xyz
'x,y,z'
'-x,-y,-z'
'-x,y,-z'
'x,-y,z'
'x+1/2,y+1/2,z'
'-x+1/2,-y+1/2,-z'
'-x+1/2,y+1/2,-z'
'x+1/2,-y+1/2,z'
loop_
_atom_site_label
_atom_site_type_symbol
_atom_site_fract_x
_atom_site_fract_y
_atom_site_fract_z
Na1 Na 0.1641 0.0000 0.1282
Hf1 Hf 0.0000 0.0000 0.5000
Sb1 Sb 0.0360 0.5000 0.2697
O1 O 0.0402 0.2121 0.7742
O2 O 0.2370 0.0000 0.5639
```

Principal peaks in the range 2θ = 10–90°, by angle:
| d_spacing | 2θ/deg | intensity |
| --- | --- | --- |
| 5.390 | 16.44 | 40 |
| 4.392 | 20.22 | 42 |
| 4.278 | 20.76 | 100 |
| 3.360 | 26.53 | 72 |
| 2.837 | 31.54 | 47 |
| 2.705 | 33.11 | 86 |
| 2.642 | 33.93 | 30 |
| 2.410 | 37.32 | 36 |
| 2.181 | 41.41 | 21 |
| 2.159 | 41.84 | 26 |
| 1.808 | 50.49 | 22 |
| 1.785 | 51.17 | 30 |